No. 1
SnP2Cl8O3: computed X-ray diffraction stick pattern (Cu Kα, 1.54184 Å), based on DFT lattice parameters and positions (PBE).
Lines closer than 0.1° are merged.

Crystal structure
```
data_SnP2Cl8O3
_chemical_formula_sum 'Sn2 P4 Cl16 O6'
_cell_length_a 8.980
_cell_length_b 9.243
_cell_length_c 11.042
_cell_angle_alpha 69.91
_cell_angle_beta 71.26
_cell_angle_gamma 65.39
_symmetry_space_group_name_H-M 'P 1'
_symmetry_Int_Tables_number 1
loop_
_symmetry_equiv_pos_as_xyz
'x,y,z'
loop_
_atom_site_label
_atom_site_fract_x
_atom_site_fract_y
_atom_site_fract_z
Sn1 0.000 0.000 0.000
Sn2 0.179 0.407 0.539
P1 0.302 0.994 0.698
P2 0.319 0.009 0.130
P3 0.866 0.399 0.402
P4 0.885 0.403 0.835
Cl1 0.052 0.688 0.477
Cl2 0.133 0.701 0.059
Cl3 0.283 0.799 0.670
Cl4 0.301 0.989 0.316
Cl5 0.330 0.385 0.691
Cl6 0.372 0.202 0.025
Cl7 0.411 0.364 0.352
Cl8 0.506 0.818 0.081
Cl9 0.548 0.934 0.682
Cl10 0.632 0.466 0.860
Cl11 0.678 0.593 0.451
Cl12 0.779 0.035 0.179
Cl13 0.806 0.196 0.514
Cl14 0.858 0.009 0.845
Cl15 0.878 0.413 0.215
Cl16 0.905 0.601 0.857
O1 0.039 0.378 0.421
O2 0.151 0.024 0.113
O3 0.219 0.008 0.845
O4 0.242 0.142 0.591
O5 0.951 0.252 0.941
O6 0.966 0.390 0.689
```

Most intense lines, 5° ≤ 2θ ≤ 70°, sorted by position:
11.08°, I 60; 12.16°, I 100; 12.59°, I 28; 15.52°, I 50; 21.80°, I 31; 22.33°, I 39; 22.65°, I 39; 23.24°, I 21; 25.46°, I 25; 25.96°, I 18; 28.24°, I 23; 34.41°, I 19

---

No. 2
Sr5P3ClO12: computed X-ray diffraction stick pattern (Cu Kα, 1.54184 Å), based on DFT lattice parameters and positions (PBE).
Lines closer than 0.1° are merged.

Crystal structure
```
data_Sr5P3ClO12
_chemical_formula_sum 'Sr10 P6 Cl2 O24'
_cell_length_a 10.0720
_cell_length_b 10.0720
_cell_length_c 7.2209
_cell_angle_alpha 90.00
_cell_angle_beta 90.00
_cell_angle_gamma 120.00
_symmetry_space_group_name_H-M 'P 63/m'
_symmetry_Int_Tables_number 176
_symmetry_space_group_name_Hall '-P 6c'
loop_
_atom_site_label
_atom_site_fract_x
_atom_site_fract_y
_atom_site_fract_z
Sr1 0.0005 0.7462 0.2500
Sr2 0.3333 0.6667 0.5019
P1 0.0338 0.4082 0.2500
Cl1 0.0000 0.0000 0.0000
O1 0.0864 0.3557 0.0757
O2 0.1226 0.5877 0.2500
O3 0.1424 0.6566 0.7500
```

Most intense lines, 5° ≤ 2θ ≤ 70°, sorted by position:
27.05°, I 21; 29.79°, I 100; 30.46°, I 100; 30.75°, I 67; 43.83°, I 44; 45.11°, I 14; 46.73°, I 30; 47.13°, I 24; 47.78°, I 23; 48.79°, I 20; 50.56°, I 15; 60.35°, I 14